This entry pairs a crystal structure of Sm7AsI12 with its computed powder diffraction line list. Radiation: copper Kα. Structure: a DFT-relaxed cell (PBE, Alexandria).
Intensities are scaled so that the largest is 100.

Top 8 peaks for 5° ≤ 2θ ≤ 70°, in order of falling intensity:
hkl	2theta	I_rel
3 1 2	28.71	100
2 5 0	40.64	37
4 -3 4	41.44	35
1 1 0	11.06	20
8 -6 2	50.52	19
10 -1 2	66.76	15
7 -2 6	67.89	14
4 -3 1	24.64	12

Structural model:
```
data_Sm7AsI12
_cell_length_a 16.0068
_cell_length_b 16.0068
_cell_length_c 10.5780
_cell_angle_alpha 90.00
_cell_angle_beta 90.00
_cell_angle_gamma 120.00
_symmetry_space_group_name_H-M 'R -3'
_symmetry_Int_Tables_number 148
_symmetry_space_group_name_Hall '-R 3'
loop_
_atom_site_label
_atom_site_fract_x
_atom_site_fract_y
_atom_site_fract_z
Sm1 0.0000 0.0000 0.0000
Sm2 0.0454 0.1618 0.3509
As1 0.0000 0.0000 0.5000
I1 0.0224 0.5864 0.1650
I2 0.0512 0.1829 0.8371
```

---

This entry pairs a crystal structure of SnAsI5 with its computed powder diffraction line list. Radiation: copper Kα. Structure: a DFT-relaxed cell (PBE, Alexandria).
Intensities are scaled so that the largest is 100.

Top 8 peaks for 5° ≤ 2θ ≤ 70°, in order of falling intensity:
hkl	2theta	I_rel
0 1 0	10.39	100
1 1 -1	22.91	93
0 1 2	14.26	81
1 1 3	25.55	67
-1 1 3	28.20	62
0 0 5	24.95	60
0 2 2	23.02	58
0 2 6	36.61	53

Structural model:
```
data_SnAsI5
_cell_length_a 4.510
_cell_length_b 8.529
_cell_length_c 17.908
_cell_angle_alpha 88.85
_cell_angle_beta 85.10
_cell_angle_gamma 87.19
_symmetry_space_group_name_H-M 'P -1'
_symmetry_Int_Tables_number 2
_symmetry_space_group_name_Hall '-P 1'
loop_
_atom_site_label
_atom_site_fract_x
_atom_site_fract_y
_atom_site_fract_z
Sn1 0.223 0.418 0.106
As1 0.103 0.383 0.614
I1 0.137 0.141 0.703
I2 0.222 0.726 0.489
I3 0.269 0.820 0.854
I4 0.285 0.311 0.947
I5 0.314 0.438 0.308
```

---

This entry pairs a crystal structure of Sr8As5I with its computed powder diffraction line list. Radiation: copper Kα. Structure: a DFT-relaxed cell (PBE, Alexandria).
Intensities are scaled so that the largest is 100.

Top 8 peaks for 5° ≤ 2θ ≤ 70°, in order of falling intensity:
hkl	2theta	I_rel
1 3 0	29.25	100
3 2 1	34.82	73
1 0 3	29.55	51
2 1 3	35.01	22
6 1 1	58.97	19
3 4 1	48.03	15
6 0 2	60.66	12
3 1 4	48.38	12

Structural model:
```
data_Sr8As5I
_cell_length_a 9.662
_cell_length_b 9.662
_cell_length_c 9.549
_cell_angle_alpha 90.00
_cell_angle_beta 90.00
_cell_angle_gamma 90.00
_symmetry_space_group_name_H-M 'I -4'
_symmetry_Int_Tables_number 82
_symmetry_space_group_name_Hall 'I -4'
loop_
_atom_site_label
_atom_site_fract_x
_atom_site_fract_y
_atom_site_fract_z
Sr1 0.066 0.194 0.321
Sr2 0.076 0.335 0.939
As1 0.000 0.500 0.250
As2 0.135 0.253 0.629
I1 0.000 0.000 0.000
```